# 1
The following is a theoretical powder diffraction line list of Sm5Ho2Er2. It was derived from a DFT-relaxed cell (GGA-PBE, Alexandria), using a wavelength of 1.5418 Å.
Peak positions follow from Bragg's law for the DFT cell and can differ from measured ones.

The 10 most intense peaks (2θ = 10–90°), in order of rising 2θ:
2θ/deg  I (rel.)
30.61  100.0
35.49  50.6
51.07  36.1
60.71  35.8
60.77  7.1
63.73  12.4
75.16  3.8
83.25  17.7
85.88  8.3
85.98  8.3

Structure:
Cell: 8.005 8.005 7.995 Å, 107.52 107.52 36.83°
Positions (direct):
Sm 0.000 0.000 0.000
Sm 0.223 0.223 0.335
Sm 0.333 0.333 0.999
Sm 0.667 0.667 0.001
Sm 0.777 0.777 0.665
Ho 0.110 0.110 0.665
Ho 0.890 0.890 0.335
Er 0.445 0.445 0.664
Er 0.555 0.555 0.336

# 2
The following is a theoretical powder diffraction line list of Cd7Hg2Au. It was derived from a DFT-relaxed cell (GGA-PBE, Alexandria), using a wavelength of 1.5418 Å.
Peak positions follow from Bragg's law for the DFT cell and can differ from measured ones.

The 10 most intense peaks (2θ = 10–90°), in order of rising 2θ:
2θ/deg  I (rel.)
23.36  62.0
31.10  46.3
32.17  37.9
32.83  91.0
33.40  37.1
33.87  53.1
40.17  100.0
40.77  32.8
40.91  34.4
41.02  34.7

Structure:
Cell: 8.943 8.943 9.342 Å, 121.43 121.43 51.97°
Positions (direct):
Cd 0.098 0.625 0.193
Cd 0.107 0.893 0.750
Cd 0.181 0.430 0.465
Cd 0.252 0.589 0.921
Cd 0.375 0.902 0.307
Cd 0.411 0.748 0.579
Cd 0.430 0.181 0.965
Cd 0.570 0.819 0.035
Cd 0.589 0.252 0.421
Cd 0.625 0.098 0.693
Cd 0.748 0.411 0.079
Cd 0.819 0.570 0.535
Cd 0.893 0.107 0.250
Cd 0.902 0.375 0.807
Hg 0.177 0.178 0.102
Hg 0.178 0.177 0.602
Hg 0.822 0.823 0.398
Hg 0.823 0.822 0.898
Au 0.494 0.506 0.750
Au 0.506 0.494 0.250

# 3
The following is a theoretical powder diffraction line list of Sr3Li4Ca. It was derived from a DFT-relaxed cell (GGA-PBE, Alexandria), using a wavelength of 1.5418 Å.
Peak positions follow from Bragg's law for the DFT cell and can differ from measured ones.

The 10 most intense peaks (2θ = 10–90°), in order of rising 2θ:
2θ/deg  I (rel.)
21.31  93.0
30.31  100.0
37.35  28.8
43.45  12.3
48.75  12.6
48.87  26.2
53.85  37.0
67.37  14.3
71.63  10.8
87.59  12.5

Structure:
Cell: 4.166 4.166 16.717 Å, 90.00 90.00 90.00°
Positions (direct):
Sr 0.000 0.000 0.000
Sr 0.000 0.000 0.257
Sr 0.000 0.000 0.743
Li 0.500 0.500 0.128
Li 0.500 0.500 0.390
Li 0.500 0.500 0.610
Li 0.500 0.500 0.872
Ca 0.000 0.000 0.500

# 4
The following is a theoretical powder diffraction line list of Pm2Cd5Ag4. It was derived from a DFT-relaxed cell (GGA-PBE, Alexandria), using a wavelength of 1.5418 Å.
Peak positions follow from Bragg's law for the DFT cell and can differ from measured ones.

The 10 most intense peaks (2θ = 10–90°), in order of rising 2θ:
2θ/deg  I (rel.)
26.76  41.2
32.52  36.1
35.31  78.4
36.05  41.8
36.21  100.0
38.50  60.2
40.39  43.8
41.05  24.2
53.78  28.4
80.27  25.4

Structure:
Cell: 10.488 9.800 5.576 Å, 80.98 67.34 31.67°
Positions (direct):
Pm 0.122 0.122 0.878
Pm 0.878 0.878 0.122
Cd 0.000 0.000 0.500
Cd 0.250 0.250 0.250
Cd 0.500 0.500 0.000
Cd 0.500 0.500 0.500
Cd 0.750 0.750 0.750
Ag 0.213 0.525 0.475
Ag 0.475 0.787 0.213
Ag 0.525 0.213 0.787
Ag 0.787 0.475 0.525

# 5
The following is a theoretical powder diffraction line list of Cs7Au2IO2. It was derived from a DFT-relaxed cell (GGA-PBE, Alexandria), using a wavelength of 1.5418 Å.
Peak positions follow from Bragg's law for the DFT cell and can differ from measured ones.

The 10 most intense peaks (2θ = 10–90°), in order of rising 2θ:
2θ/deg  I (rel.)
18.15  23.3
23.28  23.8
23.67  65.3
27.74  89.3
28.47  100.0
36.78  41.5
37.82  23.3
49.05  21.9
49.52  21.9
55.76  18.2

Structure:
Cell: 13.219 13.219 13.219 Å, 151.84 43.95 146.97°
Positions (direct):
Cs 0.000 0.000 0.000
Cs 0.115 0.907 0.208
Cs 0.377 0.471 0.905
Cs 0.566 0.471 0.095
Cs 0.699 0.907 0.792
Cs 0.764 0.372 0.393
Cs 0.979 0.372 0.607
Au 0.163 0.402 0.760
Au 0.642 0.402 0.240
I 0.328 0.828 0.500
O 0.720 0.819 0.901
O 0.918 0.819 0.099